No. 1
Starting from the PBE+U geometry in the Materials Project, the powder diffractogram of BaEu2CoO5 was simulated for copper Kα.
Kinematic intensities with the Lorentz-polarization factor, no thermal factor.

Atomic structure:
a = 3.772 Å, b = 5.977 Å, c = 11.774 Å
α = 90.00°, β = 90.00°, γ = 90.00°
Space group Immm (No. 71)
Asymmetric unit:
1 Ba 0.000 0.000 0.000 (multiplicity 2)
2 Eu 0.000 0.500 0.207 (multiplicity 4)
3 Co 0.000 0.000 0.500 (multiplicity 2)
4 O 0.000 0.240 0.359 (multiplicity 8)
5 O 0.000 0.500 0.000 (multiplicity 2)

The 6 most intense peaks (2θ from 15° to 90°), low angle first:
27.18°, rel. 30, (0 1 3)
29.90°, rel. 31, (0 2 0)
31.91°, rel. 100, (1 1 2)
43.14°, rel. 19, (0 2 4)
45.40°, rel. 16, (1 0 5)
54.36°, rel. 22, (1 3 2)

=====

No. 2
Starting from the PBE+U geometry in the Materials Project, the powder diffractogram of Ba2CoF6 was simulated for copper Kα.
Kinematic intensities with the Lorentz-polarization factor, no thermal factor.

Atomic structure:
a = 4.115 Å, b = 4.115 Å, c = 17.015 Å
α = 90.00°, β = 90.00°, γ = 90.00°
Space group I4/mmm (No. 139)
Asymmetric unit:
1 Ba 0.000 0.000 0.154 (multiplicity 4)
2 Co 0.000 0.000 0.500 (multiplicity 2)
3 F 0.000 0.000 0.380 (multiplicity 4)
4 F 0.000 0.500 0.000 (multiplicity 4)
5 F 0.000 0.500 0.250 (multiplicity 4)

The 6 most intense peaks (2θ from 15° to 90°), low angle first:
26.76°, rel. 100, (1 0 3)
30.72°, rel. 33, (1 1 0)
37.44°, rel. 31, (1 1 4)
44.01°, rel. 29, (2 0 0)
44.62°, rel. 24, (1 1 6)
52.26°, rel. 31, (2 1 3)

=====

No. 3
Starting from the PBE+U geometry in the Materials Project, the powder diffractogram of Ba2FeCoF9 was simulated for copper Kα.
Kinematic intensities with the Lorentz-polarization factor, no thermal factor.

Atomic structure:
a = 5.796 Å, b = 18.014 Å, c = 9.472 Å
α = 90.00°, β = 126.61°, γ = 90.00°
Space group P2_1/c (No. 14)
Asymmetric unit:
1 Ba 0.047 0.036 0.302 (multiplicity 4)
2 Ba 0.211 0.717 0.928 (multiplicity 4)
3 Fe 0.353 0.126 0.088 (multiplicity 4)
4 Co 0.460 0.587 0.729 (multiplicity 4)
5 F 0.008 0.571 0.572 (multiplicity 4)
6 F 0.104 0.085 0.601 (multiplicity 4)
7 F 0.211 0.165 0.213 (multiplicity 4)
8 F 0.245 0.209 0.935 (multiplicity 4)
9 F 0.260 0.664 0.240 (multiplicity 4)
10 F 0.392 0.695 0.704 (multiplicity 4)
11 F 0.432 0.582 0.932 (multiplicity 4)
12 F 0.476 0.577 0.518 (multiplicity 4)
13 F 0.484 0.033 0.241 (multiplicity 4)

The 6 most intense peaks (2θ from 15° to 90°), low angle first:
25.04°, rel. 100, (1 4 -1)
25.43°, rel. 50, (0 2 2)
27.82°, rel. 58, (1 4 -2)
30.86°, rel. 52, (2 0 -2)
40.04°, rel. 54, (2 2 0)
41.85°, rel. 59, (0 8 1)

=====

No. 4
Starting from the PBE+U geometry in the Materials Project, the powder diffractogram of BaNa5LiCo5F18 was simulated for copper Kα.
Kinematic intensities with the Lorentz-polarization factor, no thermal factor.

Atomic structure:
a = 6.923 Å, b = 6.936 Å, c = 17.415 Å
α = 97.60°, β = 97.61°, γ = 109.46°
Space group P1 (No. 1)
Asymmetric unit:
1 Ba 0.000 0.000 0.000 (multiplicity 1)
2 Ba 0.332 0.332 0.663 (multiplicity 1)
3 Na 0.153 0.666 0.827 (multiplicity 1)
4 Na 0.162 0.168 0.332 (multiplicity 1)
5 Na 0.343 0.840 0.164 (multiplicity 1)
6 Na 0.495 0.508 0.001 (multiplicity 1)
7 Na 0.509 0.000 0.500 (multiplicity 1)
8 Na 0.655 0.157 0.833 (multiplicity 1)
9 Na 0.658 0.667 0.331 (multiplicity 1)
10 Na 0.814 0.330 0.160 (multiplicity 1)
11 Na 0.827 0.842 0.666 (multiplicity 1)
12 Na 0.977 0.485 0.500 (multiplicity 1)
13 Li 0.499 0.999 0.998 (multiplicity 1)
14 Li 0.832 0.333 0.665 (multiplicity 1)
15 Co 0.162 0.665 0.331 (multiplicity 1)
16 Co 0.165 0.167 0.832 (multiplicity 1)
17 Co 0.331 0.832 0.663 (multiplicity 1)
18 Co 0.334 0.336 0.168 (multiplicity 1)
19 Co 0.498 0.499 0.494 (multiplicity 1)
20 Co 0.664 0.167 0.331 (multiplicity 1)
21 Co 0.664 0.666 0.832 (multiplicity 1)
22 Co 0.829 0.833 0.168 (multiplicity 1)
23 Co 0.993 0.995 0.495 (multiplicity 1)
24 Co 0.997 0.499 0.999 (multiplicity 1)
25 F 0.040 0.322 0.761 (multiplicity 1)
26 F 0.080 0.565 0.635 (multiplicity 1)
27 F 0.086 0.891 0.397 (multiplicity 1)
28 F 0.098 0.390 0.098 (multiplicity 1)
29 F 0.128 0.035 0.164 (multiplicity 1)
30 F 0.157 0.355 0.933 (multiplicity 1)
31 F 0.171 0.975 0.729 (multiplicity 1)
32 F 0.202 0.298 0.499 (multiplicity 1)
33 F 0.231 0.941 0.566 (multiplicity 1)
34 F 0.246 0.443 0.267 (multiplicity 1)
35 F 0.250 0.764 0.029 (multiplicity 1)
36 F 0.287 0.007 0.899 (multiplicity 1)
37 F 0.372 0.663 0.427 (multiplicity 1)
38 F 0.401 0.896 0.301 (multiplicity 1)
39 F 0.419 0.230 0.068 (multiplicity 1)
40 F 0.430 0.724 0.761 (multiplicity 1)
41 F 0.460 0.366 0.827 (multiplicity 1)
42 F 0.490 0.690 0.596 (multiplicity 1)
43 F 0.505 0.309 0.396 (multiplicity 1)
44 F 0.538 0.633 0.173 (multiplicity 1)
45 F 0.566 0.273 0.236 (multiplicity 1)
46 F 0.582 0.775 0.930 (multiplicity 1)
47 F 0.583 0.096 0.694 (multiplicity 1)
48 F 0.625 0.343 0.565 (multiplicity 1)
49 F 0.705 0.987 0.097 (multiplicity 1)
50 F 0.746 0.233 0.969 (multiplicity 1)
51 F 0.750 0.562 0.733 (multiplicity 1)
52 F 0.763 0.057 0.427 (multiplicity 1)
53 F 0.790 0.699 0.490 (multiplicity 1)
54 F 0.824 0.026 0.267 (multiplicity 1)
55 F 0.837 0.642 0.066 (multiplicity 1)
56 F 0.868 0.966 0.836 (multiplicity 1)
57 F 0.898 0.609 0.902 (multiplicity 1)
58 F 0.910 0.107 0.594 (multiplicity 1)
59 F 0.927 0.435 0.364 (multiplicity 1)
60 F 0.956 0.667 0.236 (multiplicity 1)

The 6 most intense peaks (2θ from 15° to 90°), low angle first:
15.67°, rel. 40, (1 0 1)
31.64°, rel. 100, (0 2 2)
35.49°, rel. 24, (1 2 0)
42.28°, rel. 25, (3 0 -3)
45.36°, rel. 51, (2 2 -2)
56.39°, rel. 33, (2 0 -10)

=====

No. 5
Starting from the PBE+U geometry in the Materials Project, the powder diffractogram of Ba5Co5O13F was simulated for copper Kα.
Kinematic intensities with the Lorentz-polarization factor, no thermal factor.

Atomic structure:
a = 24.186 Å, b = 10.016 Å, c = 5.898 Å
α = 90.00°, β = 90.00°, γ = 90.00°
Space group Ama2 (No. 40)
Asymmetric unit:
1 Ba 0.040 0.166 0.000 (multiplicity 8)
2 Ba 0.139 0.334 0.502 (multiplicity 8)
3 Ba 0.250 0.497 0.032 (multiplicity 4)
4 Co 0.000 0.000 0.500 (multiplicity 4)
5 Co 0.105 0.495 0.007 (multiplicity 8)
6 Co 0.181 0.169 0.996 (multiplicity 8)
7 O 0.047 0.416 0.231 (multiplicity 8)
8 O 0.049 0.420 0.773 (multiplicity 8)
9 O 0.057 0.146 0.498 (multiplicity 8)
10 O 0.149 0.343 0.003 (multiplicity 8)
11 O 0.152 0.079 0.750 (multiplicity 8)
12 O 0.159 0.089 0.248 (multiplicity 8)
13 O 0.250 0.215 0.886 (multiplicity 4)
14 F 0.250 0.359 0.412 (multiplicity 4)

The 6 most intense peaks (2θ from 15° to 90°), low angle first:
25.42°, rel. 38, (5 1 1)
28.26°, rel. 21, (6 1 1)
30.31°, rel. 50, (0 0 2)
30.77°, rel. 100, (0 3 1)
31.30°, rel. 29, (7 1 1)
40.08°, rel. 32, (5 2 2)

=====

No. 6
Starting from the PBE+U geometry in the Materials Project, the powder diffractogram of Ba6Co6O16F was simulated for copper Kα.
Kinematic intensities with the Lorentz-polarization factor, no thermal factor.

Atomic structure:
a = 14.437 Å, b = 5.747 Å, c = 10.086 Å
α = 90.00°, β = 90.00°, γ = 90.00°
Space group Amm2 (No. 38)
Asymmetric unit:
1 Ba 0.000 0.000 0.000 (multiplicity 2)
2 Ba 0.147 0.000 0.662 (multiplicity 4)
3 Ba 0.312 0.000 0.999 (multiplicity 4)
4 Ba 0.500 0.000 0.318 (multiplicity 2)
5 Co 0.085 0.000 0.327 (multiplicity 4)
6 Co 0.256 0.000 0.327 (multiplicity 4)
7 Co 0.382 0.000 0.675 (multiplicity 4)
8 O 0.000 0.000 0.477 (multiplicity 2)
9 O 0.000 0.226 0.258 (multiplicity 4)
10 O 0.156 0.000 0.171 (multiplicity 4)
11 O 0.169 0.218 0.399 (multiplicity 8)
12 O 0.334 0.237 0.249 (multiplicity 8)
13 O 0.351 0.000 0.505 (multiplicity 4)
14 O 0.500 0.000 0.742 (multiplicity 2)
15 F 0.500 0.000 0.053 (multiplicity 2)

The 6 most intense peaks (2θ from 15° to 90°), low angle first:
25.59°, rel. 29, (3 0 2)
25.71°, rel. 52, (3 1 1)
30.56°, rel. 44, (4 1 1)
30.81°, rel. 100, (0 1 3)
31.12°, rel. 52, (0 2 0)
40.71°, rel. 40, (3 2 2)

=====

No. 7
Starting from the PBE+U geometry in the Materials Project, the powder diffractogram of Ba2Ho2FeCo3O12 was simulated for copper Kα.
Kinematic intensities with the Lorentz-polarization factor, no thermal factor.

Atomic structure:
a = 3.955 Å, b = 3.955 Å, c = 15.151 Å
α = 90.00°, β = 90.00°, γ = 90.00°
Space group P4mm (No. 99)
Asymmetric unit:
1 Ba 0.000 0.000 0.000 (multiplicity 1)
2 Ba 0.000 0.000 0.495 (multiplicity 1)
3 Ho 0.000 0.000 0.249 (multiplicity 1)
4 Ho 0.000 0.000 0.753 (multiplicity 1)
5 Fe 0.500 0.500 0.628 (multiplicity 1)
6 Co 0.500 0.500 0.129 (multiplicity 1)
7 Co 0.500 0.500 0.369 (multiplicity 1)
8 Co 0.500 0.500 0.873 (multiplicity 1)
9 O 0.000 0.500 0.141 (multiplicity 2)
10 O 0.000 0.500 0.356 (multiplicity 2)
11 O 0.000 0.500 0.641 (multiplicity 2)
12 O 0.000 0.500 0.858 (multiplicity 2)
13 O 0.500 0.500 0.251 (multiplicity 1)
14 O 0.500 0.500 0.493 (multiplicity 1)
15 O 0.500 0.500 0.756 (multiplicity 1)
16 O 0.500 0.500 0.997 (multiplicity 1)

The 6 most intense peaks (2θ from 15° to 90°), low angle first:
32.00°, rel. 53, (1 1 0)
32.74°, rel. 100, (1 0 4)
40.08°, rel. 27, (1 1 4)
45.89°, rel. 34, (2 0 0)
57.51°, rel. 40, (2 1 4)
58.89°, rel. 20, (1 1 8)

=====

No. 8
Starting from the PBE+U geometry in the Materials Project, the powder diffractogram of BaNdFeCoO6 was simulated for copper Kα.
Kinematic intensities with the Lorentz-polarization factor, no thermal factor.

Atomic structure:
a = 3.910 Å, b = 3.910 Å, c = 7.915 Å
α = 90.00°, β = 90.00°, γ = 90.00°
Space group P4mm (No. 99)
Asymmetric unit:
1 Ba 0.000 0.000 0.000 (multiplicity 1)
2 Nd 0.000 0.000 0.508 (multiplicity 1)
3 Fe 0.500 0.500 0.257 (multiplicity 1)
4 Co 0.500 0.500 0.752 (multiplicity 1)
5 O 0.000 0.500 0.279 (multiplicity 2)
6 O 0.000 0.500 0.725 (multiplicity 2)
7 O 0.500 0.500 0.006 (multiplicity 1)
8 O 0.500 0.500 0.510 (multiplicity 1)

The 6 most intense peaks (2θ from 15° to 90°), low angle first:
32.18°, rel. 100, (1 0 2)
32.38°, rel. 49, (1 1 0)
39.77°, rel. 26, (1 1 2)
46.45°, rel. 32, (2 0 0)
57.25°, rel. 20, (1 1 4)
57.63°, rel. 38, (2 1 2)

=====

Repeat the eighth record exactly.
Starting from the PBE+U geometry in the Materials Project, the powder diffractogram of BaNdFeCoO6 was simulated for copper Kα.
Kinematic intensities with the Lorentz-polarization factor, no thermal factor.

Atomic structure:
a = 3.910 Å, b = 3.910 Å, c = 7.915 Å
α = 90.00°, β = 90.00°, γ = 90.00°
Space group P4mm (No. 99)
Asymmetric unit:
1 Ba 0.000 0.000 0.000 (multiplicity 1)
2 Nd 0.000 0.000 0.508 (multiplicity 1)
3 Fe 0.500 0.500 0.257 (multiplicity 1)
4 Co 0.500 0.500 0.752 (multiplicity 1)
5 O 0.000 0.500 0.279 (multiplicity 2)
6 O 0.000 0.500 0.725 (multiplicity 2)
7 O 0.500 0.500 0.006 (multiplicity 1)
8 O 0.500 0.500 0.510 (multiplicity 1)

The 6 most intense peaks (2θ from 15° to 90°), low angle first:
32.18°, rel. 100, (1 0 2)
32.38°, rel. 49, (1 1 0)
39.77°, rel. 26, (1 1 2)
46.45°, rel. 32, (2 0 0)
57.25°, rel. 20, (1 1 4)
57.63°, rel. 38, (2 1 2)

=====

> Which formula does entry 5 have?

Ba5Co5O13F